The following is a simulated X-ray powder pattern of Ba3CaZn2. It was derived from DFT lattice parameters and positions (GGA-PBE), using copper Kα.
No peak broadening, texture or thermal motion is included.

Peak list (6 most intense, 2θ from 10° to 90°, low angle first)
d [Å], 2θ (°), I (rel.)
4.126, 21.5, 20
3.112, 28.7, 100
2.918, 30.6, 64
2.694, 33.3, 47
2.063, 43.9, 23
1.720, 53.3, 34

Atomic structure:
```
Ba3CaZn2
1.0
4.1265 0.0000 0.0000
0.0000 4.1265 0.0000
0.0000 0.0000 14.2212
Ba Ca Zn
3 1 2
Direct
0.0000 0.0000 0.0000
0.0000 0.0000 0.2846
0.0000 0.0000 0.7154
0.5000 0.5000 0.5000
0.5000 0.5000 0.1492
0.5000 0.5000 0.8508
```

***

The following is a simulated X-ray powder pattern of BaCaZn17. It was derived from DFT lattice parameters and positions (GGA-PBE), using copper Kα.
No peak broadening, texture or thermal motion is included.

Peak list (6 most intense, 2θ from 10° to 90°, low angle first)
d [Å], 2θ (°), I (rel.)
2.668, 33.6, 33
2.569, 34.9, 29
2.310, 39.0, 68
2.290, 39.3, 100
2.234, 40.4, 39
2.052, 44.1, 70

Atomic structure:
```
BaCaZn17
1.0
4.6203 2.6675 4.4682
-4.6203 2.6675 4.4682
0.0000 -5.3350 4.4682
Ba Ca Zn
1 1 17
Direct
0.0000 0.0000 0.0000
0.3214 0.3214 0.3214
0.0107 0.0107 0.4988
0.0107 0.4988 0.0107
0.1583 0.6609 0.6609
0.3156 0.3156 0.8129
0.3156 0.8129 0.3156
0.3707 0.6568 0.9519
0.3707 0.9519 0.6568
0.4988 0.0107 0.0107
0.5564 0.5564 0.5564
0.6568 0.3707 0.9519
0.6568 0.9519 0.3707
0.6609 0.1583 0.6609
0.6609 0.6609 0.1583
0.7549 0.7549 0.7549
0.8129 0.3156 0.3156
0.9519 0.3707 0.6568
0.9519 0.6568 0.3707
```

***

The following is a simulated X-ray powder pattern of BaCa3Zn3. It was derived from DFT lattice parameters and positions (GGA-PBE), using copper Kα.
No peak broadening, texture or thermal motion is included.

Peak list (6 most intense, 2θ from 10° to 90°, low angle first)
d [Å], 2θ (°), I (rel.)
8.237, 10.7, 100
2.974, 30.0, 46
2.798, 32.0, 69
2.552, 35.2, 46
2.512, 35.7, 36
2.446, 36.7, 27

Atomic structure:
```
BaCa3Zn3
1.0
3.9188 2.2625 8.2365
-3.9188 2.2625 8.2365
0.0000 -4.5250 8.2365
Ba Ca Zn
2 6 6
Direct
0.0783 0.0783 0.0783
0.9217 0.9217 0.9217
0.0998 0.6015 0.6015
0.3985 0.3985 0.9002
0.3985 0.9002 0.3985
0.6015 0.0998 0.6015
0.6015 0.6015 0.0998
0.9002 0.3985 0.3985
0.2178 0.2178 0.5662
0.2178 0.5662 0.2178
0.4338 0.7822 0.7822
0.5662 0.2178 0.2178
0.7822 0.4338 0.7822
0.7822 0.7822 0.4338
```

***

The following is a simulated X-ray powder pattern of BaCa2Zn. It was derived from DFT lattice parameters and positions (GGA-PBE), using copper Kα.
No peak broadening, texture or thermal motion is included.

Peak list (6 most intense, 2θ from 10° to 90°, low angle first)
d [Å], 2θ (°), I (rel.)
3.665, 24.3, 32
3.060, 29.2, 100
2.802, 31.9, 54
2.495, 36.0, 29
1.982, 45.8, 19
1.663, 55.2, 31

Atomic structure:
```
BaCa2Zn
1.0
3.9632 0.0000 0.0000
0.0000 3.9632 0.0000
0.0000 0.0000 9.6322
Ba Ca Zn
1 2 1
Direct
0.0000 0.0000 0.0000
0.0000 0.0000 0.6160
0.5000 0.5000 0.3365
0.5000 0.5000 0.7734
```